Structure and computed X-ray powder pattern of ThGa4Pd4 (DFT lattice parameters and positions (PBE); Cu Kα).
Neutral-atom scattering factors, no anomalous dispersion.

Atomic structure:
a = 6.129 Å, b = 6.129 Å, c = 8.614 Å
α = 90.00°, β = 90.00°, γ = 90.00°
Element x y z (fractional)
1 Th 0.250 0.750 0.250
2 Th 0.750 0.250 0.750
3 Ga 0.043 0.250 0.070
4 Ga 0.250 0.043 0.570
5 Ga 0.250 0.457 0.570
6 Ga 0.457 0.250 0.070
7 Ga 0.543 0.750 0.930
8 Ga 0.750 0.543 0.430
9 Ga 0.750 0.957 0.430
10 Ga 0.957 0.750 0.930
11 Pd 0.022 0.250 0.364
12 Pd 0.250 0.022 0.864
13 Pd 0.250 0.478 0.864
14 Pd 0.478 0.250 0.364
15 Pd 0.522 0.750 0.636
16 Pd 0.750 0.522 0.136
17 Pd 0.750 0.978 0.136
18 Pd 0.978 0.750 0.636

The 6 most intense peaks (5 to 70 degrees two-theta), in order of falling intensity:
Position (°2θ)	intensity
34.3	100
34.5	41
29.2	34
55.2	23
46.9	21
43.2	21

=====

Structure and computed X-ray powder pattern of TiZn11 (DFT lattice parameters and positions (PBE); Cu Kα).
Neutral-atom scattering factors, no anomalous dispersion.

Atomic structure:
a = 8.102 Å, b = 8.102 Å, c = 8.102 Å
α = 100.00°, β = 100.00°, γ = 130.74°
Element x y z (fractional)
1 Ti 0.375 0.625 0.750
2 Ti 0.625 0.375 0.250
3 Zn 0.000 0.000 0.000
4 Zn 0.000 0.000 0.500
5 Zn 0.000 0.500 0.000
6 Zn 0.125 0.552 0.333
7 Zn 0.125 0.792 0.573
8 Zn 0.125 0.875 0.250
9 Zn 0.208 0.281 0.333
10 Zn 0.208 0.875 0.927
11 Zn 0.281 0.208 0.833
12 Zn 0.281 0.448 0.073
13 Zn 0.448 0.281 0.573
14 Zn 0.448 0.875 0.167
15 Zn 0.500 0.000 0.500
16 Zn 0.552 0.125 0.833
17 Zn 0.552 0.719 0.427
18 Zn 0.719 0.552 0.927
19 Zn 0.719 0.792 0.167
20 Zn 0.792 0.125 0.073
21 Zn 0.792 0.719 0.667
22 Zn 0.875 0.125 0.750
23 Zn 0.875 0.208 0.427
24 Zn 0.875 0.448 0.667

The 6 most intense peaks (5 to 70 degrees two-theta), in order of falling intensity:
Position (°2θ)	intensity
45.6	100
38.2	74
38.7	53
44.7	36
47.4	32
41.0	25

=====

Structure and computed X-ray powder pattern of Na2AcMnN4 (DFT lattice parameters and positions (PBE); Cu Kα).
Neutral-atom scattering factors, no anomalous dispersion.

Atomic structure:
a = 6.032 Å, b = 6.032 Å, c = 6.532 Å
α = 90.00°, β = 90.00°, γ = 90.00°
Element x y z (fractional)
1 Na 0.000 0.500 0.250
2 Na 0.000 0.500 0.750
3 Na 0.500 0.000 0.250
4 Na 0.500 0.000 0.750
5 Ac 0.000 0.000 0.000
6 Ac 0.500 0.500 0.500
7 Mn 0.000 0.000 0.500
8 Mn 0.500 0.500 0.000
9 N 0.161 0.161 0.656
10 N 0.161 0.839 0.344
11 N 0.339 0.339 0.156
12 N 0.339 0.661 0.844
13 N 0.661 0.339 0.844
14 N 0.661 0.661 0.156
15 N 0.839 0.161 0.344
16 N 0.839 0.839 0.656

The 6 most intense peaks (5 to 70 degrees two-theta), in order of falling intensity:
Position (°2θ)	intensity
20.8	100
34.6	98
20.0	74
29.6	64
55.8	53
36.0	52

=====

Structure and computed X-ray powder pattern of SrGa2Cu6 (DFT lattice parameters and positions (PBE); Cu Kα).
Neutral-atom scattering factors, no anomalous dispersion.

Atomic structure:
a = 6.750 Å, b = 6.750 Å, c = 6.750 Å
α = 143.31°, β = 120.29°, γ = 72.17°
Element x y z (fractional)
1 Sr 0.000 0.000 0.000
2 Ga 0.360 0.860 0.500
3 Ga 0.640 0.140 0.500
4 Cu 0.091 0.284 0.807
5 Cu 0.329 0.500 0.829
6 Cu 0.476 0.284 0.193
7 Cu 0.524 0.716 0.807
8 Cu 0.671 0.500 0.171
9 Cu 0.909 0.716 0.193

The 6 most intense peaks (5 to 70 degrees two-theta), in order of falling intensity:
Position (°2θ)	intensity
35.0	100
41.6	86
42.6	67
45.8	50
27.9	44
15.5	34

=====

Structure and computed X-ray powder pattern of K2AcCu2O4 (DFT lattice parameters and positions (PBE); Cu Kα).
Neutral-atom scattering factors, no anomalous dispersion.

Atomic structure:
a = 6.573 Å, b = 6.573 Å, c = 9.189 Å
α = 128.59°, β = 128.59°, γ = 35.71°
Element x y z (fractional)
1 K 0.120 0.120 0.458
2 K 0.880 0.880 0.542
3 Ac 0.500 0.500 0.000
4 Cu 0.310 0.310 0.195
5 Cu 0.690 0.690 0.805
6 O 0.167 0.167 0.197
7 O 0.469 0.469 0.235
8 O 0.531 0.531 0.765
9 O 0.833 0.833 0.803

The 6 most intense peaks (5 to 70 degrees two-theta), in order of falling intensity:
Position (°2θ)	intensity
30.1	100
31.7	69
12.8	66
24.0	42
29.9	40
31.0	31

=====

Structure and computed X-ray powder pattern of Li3Ga2 (DFT lattice parameters and positions (PBE); Cu Kα).
Neutral-atom scattering factors, no anomalous dispersion.

Atomic structure:
a = 4.356 Å, b = 4.356 Å, c = 13.835 Å
α = 90.00°, β = 90.00°, γ = 120.00°
Element x y z (fractional)
1 Li 0.000 0.000 0.000
2 Li 0.000 0.000 0.403
3 Li 0.000 0.000 0.597
4 Li 0.333 0.667 0.070
5 Li 0.333 0.667 0.263
6 Li 0.333 0.667 0.667
7 Li 0.667 0.333 0.333
8 Li 0.667 0.333 0.737
9 Li 0.667 0.333 0.930
10 Ga 0.000 0.000 0.202
11 Ga 0.000 0.000 0.798
12 Ga 0.333 0.667 0.464
13 Ga 0.333 0.667 0.869
14 Ga 0.667 0.333 0.131
15 Ga 0.667 0.333 0.536

The 6 most intense peaks (5 to 70 degrees two-theta), in order of falling intensity:
Position (°2θ)	intensity
26.9	100
40.4	69
19.2	67
41.5	65
46.1	41
59.3	22

=====

Structure and computed X-ray powder pattern of ErNpHgO6 (DFT lattice parameters and positions (PBE); Cu Kα).
Neutral-atom scattering factors, no anomalous dispersion.

Atomic structure:
a = 5.133 Å, b = 5.133 Å, c = 10.285 Å
α = 90.00°, β = 90.00°, γ = 90.00°
Element x y z (fractional)
1 Er 0.000 0.000 0.000
2 Er 0.500 0.500 0.500
3 Np 0.000 0.000 0.664
4 Np 0.500 0.500 0.164
5 Hg 0.000 0.000 0.331
6 Hg 0.500 0.500 0.831
7 O 0.179 0.179 0.819
8 O 0.196 0.196 0.522
9 O 0.222 0.222 0.155
10 O 0.278 0.722 0.655
11 O 0.304 0.696 0.022
12 O 0.321 0.679 0.319
13 O 0.679 0.321 0.319
14 O 0.696 0.304 0.022
15 O 0.722 0.278 0.655
16 O 0.778 0.778 0.155
17 O 0.804 0.804 0.522
18 O 0.821 0.821 0.819

The 6 most intense peaks (5 to 70 degrees two-theta), in order of falling intensity:
Position (°2θ)	intensity
24.5	100
31.4	93
47.7	71
35.0	30
60.5	20
56.7	19

=====

> Number 6 is which compound?

Li3Ga2